For Tb2Y12Sc, DFT lattice parameters and positions (PBE) gives the simulated powder XRD pattern in this record (CuKα).
No peak broadening, texture or thermal motion is included.

The 12 most intense peaks (10 to 90 degrees two-theta), sorted by position:
Position (°2θ)	I (rel.)	(hkl)
30.9	9	2 0 2
31.4	9	-1 1 5
31.6	100	1 1 -7
31.8	36	1 -1 5
32.1	33	2 2 1
45.5	9	1 3 6
45.8	12	3 1 6
52.8	7	2 -2 0
56.5	7	2 0 13
56.9	16	3 3 -6
62.5	7	-1 3 8
63.2	11	1 -3 7

Cell and atoms:
```
30
Lattice="6.5695 0.0000 0.0000 2.9180 5.8913 0.0000 2.1977 1.7489 24.6412" Properties=species:S:1:pos:R:3 pbc="T T T"
Tb 1.8269 2.3581 6.6506
Tb 5.1050 2.3596 18.0071
Tb 6.5802 5.2806 6.6342
Tb 9.8584 5.2822 17.9907
Y 3.2731 5.2843 8.1749
Y 3.4883 5.4464 4.8902
Y 5.5687 6.6344 23.0311
Y 4.1731 3.8947 21.1089
Y 4.2157 3.8222 14.7611
Y 5.6549 6.7600 13.3165
Y 4.1977 3.8242 11.3192
Y 2.7572 0.8890 9.8595
Y 3.9955 3.7618 1.6724
Y 2.8114 0.6861 2.7911
Y 6.5487 5.2803 16.5213
Y 6.8276 5.4314 19.8006
Y 4.8576 2.2088 4.8406
Y 5.1366 2.3599 8.1200
Y 8.8739 6.9541 21.8501
Y 7.6898 3.8785 22.9689
Y 8.9280 6.7512 14.7817
Y 7.4876 3.8161 13.3220
Y 6.0304 0.8802 11.3247
Y 7.4696 3.8181 9.8802
Y 7.5121 3.7456 3.5324
Y 6.1166 1.0058 1.6102
Y 8.1969 2.1938 19.7511
Y 8.4122 2.3559 16.4663
Sc 4.5811 3.2752 24.2879
Sc 7.1042 4.3651 0.3534
```

***

For Tb5YSc2, DFT lattice parameters and positions (PBE) gives the simulated powder XRD pattern in this record (CuKα).
No peak broadening, texture or thermal motion is included.

The 12 most intense peaks (10 to 90 degrees two-theta), sorted by position:
Position (°2θ)	I (rel.)	(hkl)
15.6	16	1 0 1
18.1	17	0 0 2
31.4	100	0 2 2
31.5	99	2 0 2
36.4	67	2 2 0
36.7	33	0 0 4
52.6	58	4 0 0
62.3	28	2 4 2
62.5	27	4 2 2
62.8	27	2 0 6
86.0	17	6 0 2
88.7	16	6 2 0

Cell and atoms:
```
16
Lattice="6.9665 0.0000 0.0000 0.0000 7.0105 0.0000 0.0000 0.0000 9.7993" Properties=species:S:1:pos:R:3 pbc="T T T"
Tb 0.0000 0.0000 0.0000
Tb 1.7416 1.7526 2.4498
Tb 1.7416 1.7526 7.3494
Tb 1.7416 5.2578 2.4498
Tb 1.7416 5.2578 7.3494
Tb 3.4832 3.5052 4.8996
Tb 5.2248 1.7526 2.4498
Tb 5.2248 1.7526 7.3494
Tb 5.2248 5.2578 2.4498
Tb 5.2248 5.2578 7.3494
Y 0.0000 3.5052 0.0000
Y 3.4832 0.0000 4.8996
Sc 0.0000 0.0000 4.8996
Sc 0.0000 3.5052 4.8996
Sc 3.4832 0.0000 0.0000
Sc 3.4832 3.5052 0.0000
```

***

For Tb2Y4Sc, DFT lattice parameters and positions (PBE) gives the simulated powder XRD pattern in this record (CuKα).
No peak broadening, texture or thermal motion is included.

The 12 most intense peaks (10 to 90 degrees two-theta), sorted by position:
Position (°2θ)	I (rel.)	(hkl)
10.9	22	0 0 1
26.8	25	1 -1 2
31.0	54	2 2 2
31.1	100	1 1 -2
31.3	51	0 2 2
34.8	53	2 -1 1
41.6	13	2 3 3
44.6	17	0 0 4
47.2	10	3 0 3
55.5	15	1 2 5
57.7	24	2 5 -1
58.0	13	0 5 -1

Cell and atoms:
```
14
Lattice="6.6772 0.0000 0.0000 3.3384 8.1016 0.0000 3.3339 -0.0600 8.1214" Properties=species:S:1:pos:R:3 pbc="T T T"
Tb 0.0000 0.0000 0.0000
Tb 5.7860 7.8427 4.3023
Tb 6.2046 4.0179 4.0662
Tb 5.7876 0.2054 3.8104
Y 4.3497 1.9224 1.8419
Y 8.0503 5.8931 6.0347
Y 6.6242 1.3540 6.7292
Y 6.6342 6.6810 1.3913
Y 11.0272 6.1230 6.2730
Y 8.0494 2.1621 2.0810
Y 9.9592 2.7226 5.4403
Y 9.9708 5.3234 2.6729
Sc 5.8285 4.1771 7.8770
Sc 5.8301 3.8665 0.2330
```